Computed powder XRD pattern
Compound: CsEr2Cl7
Radiation: a wavelength of 1.5418 Å
Structure: a crystal structure in OQMD, relaxed with PBE
No peak broadening, texture or thermal motion is included.

Atomic structure:
```
data_CsEr2Cl7
_cell_length_a 6.5488
_cell_length_b 12.6427
_cell_length_c 7.7036
_cell_angle_alpha 90.00
_cell_angle_beta 91.64
_cell_angle_gamma 90.00
_space_group_name_H-M_alt 'P 1 21/m 1'
_space_group_IT_number 11
loop_
_space_group_symop_operation_xyz
'x,y,z'
'-x,-y,-z'
'-x,y+1/2,-z'
'x,-y+1/2,z'
loop_
_atom_site_label
_atom_site_fract_x
_atom_site_fract_y
_atom_site_fract_z
Cs1 0.0480 0.2500 0.1309
Er1 0.4023 0.1071 0.6555
Cl1 0.1003 0.2500 0.6365
Cl2 0.2361 0.0024 0.8840
Cl3 0.2603 0.0015 0.3840
Cl4 0.4384 0.7500 0.1262
Cl5 0.4570 0.7500 0.5766
```

Most intense lines, 15° ≤ 2θ ≤ 90°, sorted by position:
5.813 Å, 15.24°, I 41, (1 1 0)
4.919 Å, 18.04°, I 79, (1 0 1)
4.697 Å, 18.89°, I 75, (1 1 -1)
4.584 Å, 19.36°, I 24, (1 1 1)
3.690 Å, 24.12°, I 100, (0 3 1)
3.240 Å, 27.53°, I 27, (1 3 -1)
2.907 Å, 30.75°, I 52, (2 2 0)
2.845 Å, 31.44°, I 40, (1 4 0)
2.628 Å, 34.12°, I 35, (1 3 -2)
2.586 Å, 34.68°, I 96, (1 3 2)

***

Computed powder XRD pattern
Compound: SnAu7
Radiation: a wavelength of 1.5418 Å
Structure: a crystal structure in OQMD, relaxed with PBE
No peak broadening, texture or thermal motion is included.

Atomic structure:
```
data_SnAu7
_cell_length_a 2.9349
_cell_length_b 4.0162
_cell_length_c 35.0265
_cell_angle_alpha 90.00
_cell_angle_beta 90.00
_cell_angle_gamma 90.00
_space_group_name_H-M_alt 'P m m n'
_space_group_IT_number 59
loop_
_space_group_symop_operation_xyz
'x,y,z'
'-x,-y,-z'
'-x+1/2,-y+1/2,z'
'x+1/2,y+1/2,-z'
'x+1/2,-y,-z'
'-x+1/2,y,z'
'-x,y+1/2,-z'
'x,-y+1/2,z'
loop_
_atom_site_label
_atom_site_fract_x
_atom_site_fract_y
_atom_site_fract_z
Sn1 0.2500 0.2500 0.1677
Au1 0.2500 0.2500 0.2588
Au2 0.2500 0.2500 0.3467
Au3 0.2500 0.2500 0.4344
Au4 0.2500 0.2500 0.5220
Au5 0.2500 0.2500 0.6094
Au6 0.2500 0.2500 0.6969
Au7 0.2500 0.2500 0.7866
```

Most intense lines, 15° ≤ 2θ ≤ 90°, sorted by position:
2.495 Å, 35.99°, I 71, (0 1 11)
2.368 Å, 37.99°, I 100, (1 1 0)
2.361 Å, 38.11°, I 39, (0 1 12)
2.158 Å, 41.86°, I 47, (1 0 11)
2.070 Å, 43.74°, I 27, (1 0 12)
2.007 Å, 45.17°, I 31, (0 2 0)
1.470 Å, 63.26°, I 28, (1 2 11)
1.441 Å, 64.68°, I 17, (1 2 12)
1.281 Å, 73.99°, I 20, (1 1 23)
1.265 Å, 75.10°, I 18, (2 1 11)

***

Computed powder XRD pattern
Compound: LaPr2NdSe3O4
Radiation: a wavelength of 1.5418 Å
Structure: a crystal structure in OQMD, relaxed with PBE
No peak broadening, texture or thermal motion is included.

Atomic structure:
```
data_LaPr2NdSe3O4
_cell_length_a 8.4773
_cell_length_b 4.0459
_cell_length_c 13.0690
_cell_angle_alpha 90.00
_cell_angle_beta 90.00
_cell_angle_gamma 90.00
_space_group_name_H-M_alt 'A m m 2'
_space_group_IT_number 38
loop_
_space_group_symop_operation_xyz
'x,y,z'
'-x,-y,z'
'-x,y,z'
'x,-y,z'
'x,y+1/2,z+1/2'
'-x,-y+1/2,z+1/2'
'-x,y+1/2,z+1/2'
'x,-y+1/2,z+1/2'
loop_
_atom_site_label
_atom_site_fract_x
_atom_site_fract_y
_atom_site_fract_z
La1 0.0000 0.0000 0.0000
Pr1 0.2383 0.0000 0.6855
Nd1 0.5000 0.0000 0.0180
Se1 0.0000 0.0000 0.3107
Se2 0.3509 0.0000 0.3581
O1 0.0000 0.0000 0.5883
O2 0.2461 0.0000 0.0893
O3 0.5000 0.0000 0.6149
```

Most intense lines, 15° ≤ 2θ ≤ 90°, sorted by position:
3.556 Å, 25.04°, I 54, (2 0 2)
2.965 Å, 30.15°, I 100, (0 1 3)
2.856 Å, 31.32°, I 55, (2 1 1)
2.589 Å, 34.65°, I 38, (2 0 4)
2.023 Å, 44.80°, I 20, (0 2 0)
1.949 Å, 46.59°, I 23, (2 1 5)
1.758 Å, 52.01°, I 15, (2 2 2)
1.724 Å, 53.12°, I 17, (4 1 3)
1.594 Å, 57.84°, I 17, (2 2 4)
1.574 Å, 58.65°, I 15, (2 1 7)

***

Computed powder XRD pattern
Compound: LaNiSbAsPd
Radiation: a wavelength of 1.5418 Å
Structure: a crystal structure in OQMD, relaxed with PBE
No peak broadening, texture or thermal motion is included.

Atomic structure:
```
data_LaNiSbAsPd
_cell_length_a 4.4848
_cell_length_b 4.4848
_cell_length_c 9.9472
_cell_angle_alpha 90.00
_cell_angle_beta 90.00
_cell_angle_gamma 90.00
_space_group_name_H-M_alt 'P 4/n m m'
_space_group_IT_number 129
loop_
_space_group_symop_operation_xyz
'x,y,z'
'-x,-y,-z'
'-y+1/2,x,z'
'y+1/2,-x,-z'
'-x+1/2,-y+1/2,z'
'x+1/2,y+1/2,-z'
'y,-x+1/2,z'
'-y,x+1/2,-z'
'x+1/2,-y,-z'
'-x+1/2,y,z'
'-y,-x,-z'
'y,x,z'
'-x,y+1/2,-z'
'x,-y+1/2,z'
'y+1/2,x+1/2,-z'
'-y+1/2,-x+1/2,z'
loop_
_atom_site_label
_atom_site_fract_x
_atom_site_fract_y
_atom_site_fract_z
La1 0.2500 0.2500 0.2362
Ni1 0.2500 0.2500 0.6283
Sb1 0.2500 0.7500 0.5000
As1 0.2500 0.2500 0.8631
Pd1 0.2500 0.7500 0.0000
```

Most intense lines, 15° ≤ 2θ ≤ 90°, sorted by position:
2.674 Å, 33.51°, I 100, (1 1 2)
2.666 Å, 33.61°, I 33, (1 0 3)
2.242 Å, 40.22°, I 55, (2 0 0)
1.957 Å, 46.40°, I 16, (1 1 4)
1.819 Å, 50.16°, I 13, (1 0 5)
1.716 Å, 53.39°, I 17, (2 1 3)
1.586 Å, 58.18°, I 18, (2 2 0)
1.469 Å, 63.30°, I 10, (1 1 6)
1.412 Å, 66.16°, I 11, (2 1 5)
1.364 Å, 68.85°, I 28, (3 1 2)

***

Computed powder XRD pattern
Compound: InPdAu3O4
Radiation: a wavelength of 1.5418 Å
Structure: a crystal structure in OQMD, relaxed with PBE
No peak broadening, texture or thermal motion is included.

Atomic structure:
```
data_InPdAu3O4
_cell_length_a 5.2879
_cell_length_b 5.2879
_cell_length_c 5.2879
_cell_angle_alpha 90.00
_cell_angle_beta 90.00
_cell_angle_gamma 90.00
_space_group_name_H-M_alt 'P -4 3 m'
_space_group_IT_number 215
_space_group_name_Hall 'P -4 2 3'
loop_
_atom_site_label
_atom_site_fract_x
_atom_site_fract_y
_atom_site_fract_z
In1 0.0000 0.0000 0.0000
Pd1 0.5000 0.5000 0.5000
Au1 0.0000 0.5000 0.5000
O1 0.2256 0.2256 0.2256
```

Most intense lines, 15° ≤ 2θ ≤ 90°, sorted by position:
5.288 Å, 16.77°, I 24, (1 0 0)
3.053 Å, 29.25°, I 100, (1 1 1)
2.644 Å, 33.90°, I 80, (2 0 0)
2.365 Å, 38.05°, I 16, (2 1 0)
1.870 Å, 48.71°, I 77, (2 2 0)
1.594 Å, 57.83°, I 45, (3 1 1)
1.526 Å, 60.67°, I 21, (2 2 2)
1.322 Å, 71.35°, I 12, (4 0 0)
1.213 Å, 78.91°, I 19, (3 3 1)
1.182 Å, 81.38°, I 29, (4 2 0)

***

Computed powder XRD pattern
Compound: Er2Lu5Te2Pd2
Radiation: a wavelength of 1.5418 Å
Structure: a crystal structure in OQMD, relaxed with PBE
No peak broadening, texture or thermal motion is included.

Atomic structure:
```
data_Er2Lu5Te2Pd2
_cell_length_a 3.8888
_cell_length_b 15.3918
_cell_length_c 9.5268
_cell_angle_alpha 90.00
_cell_angle_beta 90.00
_cell_angle_gamma 90.00
_space_group_name_H-M_alt 'I m m 2'
_space_group_IT_number 44
loop_
_space_group_symop_operation_xyz
'x,y,z'
'-x,-y,z'
'-x,y,z'
'x,-y,z'
'x+1/2,y+1/2,z+1/2'
'-x+1/2,-y+1/2,z+1/2'
'-x+1/2,y+1/2,z+1/2'
'x+1/2,-y+1/2,z+1/2'
loop_
_atom_site_label
_atom_site_fract_x
_atom_site_fract_y
_atom_site_fract_z
Er1 0.0000 0.1829 0.0000
Lu1 0.0000 0.1434 0.3599
Lu2 0.0000 0.3693 0.2097
Lu3 0.0000 0.5000 0.6271
Te1 0.0000 0.0000 0.8595
Te2 0.0000 0.5000 0.9663
Pd1 0.0000 0.2634 0.6974
```

Most intense lines, 15° ≤ 2θ ≤ 90°, sorted by position:
2.956 Å, 30.23°, I 49, (1 1 2)
2.929 Å, 30.52°, I 20, (0 5 1)
2.700 Å, 33.18°, I 61, (0 3 3)
2.629 Å, 34.10°, I 100, (1 4 1)
2.598 Å, 34.53°, I 47, (1 3 2)
2.460 Å, 36.53°, I 21, (1 0 3)
2.343 Å, 38.42°, I 18, (1 2 3)
1.944 Å, 46.72°, I 28, (2 0 0)
1.776 Å, 51.46°, I 20, (1 7 2)
1.578 Å, 58.49°, I 24, (2 3 3)

***

Computed powder XRD pattern
Compound: Nb4InBiC2
Radiation: a wavelength of 1.5418 Å
Structure: a crystal structure in OQMD, relaxed with PBE
No peak broadening, texture or thermal motion is included.

Atomic structure:
```
data_Nb4InBiC2
_cell_length_a 3.2941
_cell_length_b 3.2941
_cell_length_c 14.0841
_cell_angle_alpha 90.00
_cell_angle_beta 90.00
_cell_angle_gamma 120.00
_space_group_name_H-M_alt 'P -6 m 2'
_space_group_IT_number 187
_space_group_name_Hall 'P -6 2'
loop_
_atom_site_label
_atom_site_fract_x
_atom_site_fract_y
_atom_site_fract_z
Nb1 0.0000 0.0000 0.1687
Nb2 0.3333 0.6667 0.3308
In1 0.3333 0.6667 0.0000
Bi1 0.0000 0.0000 0.5000
C1 0.6667 0.3333 0.2499
```

Most intense lines, 15° ≤ 2θ ≤ 90°, sorted by position:
2.853 Å, 31.36°, I 24, (1 0 0)
2.796 Å, 32.01°, I 6, (1 0 1)
2.644 Å, 33.90°, I 4, (1 0 2)
2.438 Å, 36.87°, I 100, (1 0 3)
2.347 Å, 38.35°, I 19, (0 0 6)
1.813 Å, 50.34°, I 16, (1 0 6)
1.647 Å, 55.82°, I 21, (1 1 0)
1.372 Å, 68.37°, I 16, (1 0 9)
1.365 Å, 68.78°, I 16, (2 0 3)
1.348 Å, 69.75°, I 19, (1 1 6)

***

Computed powder XRD pattern
Compound: Li4GeSbIr2
Radiation: a wavelength of 1.5418 Å
Structure: a crystal structure in OQMD, relaxed with PBE
No peak broadening, texture or thermal motion is included.

Atomic structure:
```
data_Li4GeSbIr2
_cell_length_a 4.2743
_cell_length_b 4.2743
_cell_length_c 6.2380
_cell_angle_alpha 90.00
_cell_angle_beta 90.00
_cell_angle_gamma 90.00
_space_group_name_H-M_alt 'P -4 m 2'
_space_group_IT_number 115
loop_
_space_group_symop_operation_xyz
'x,y,z'
'y,-x,-z'
'-x,-y,z'
'-y,x,-z'
'-x,y,z'
'-y,-x,-z'
'x,-y,z'
'y,x,-z'
loop_
_atom_site_label
_atom_site_fract_x
_atom_site_fract_y
_atom_site_fract_z
Li1 0.0000 0.0000 0.0000
Li2 0.0000 0.5000 0.7264
Li3 0.5000 0.5000 0.5000
Ge1 0.0000 0.0000 0.5000
Sb1 0.5000 0.5000 0.0000
Ir1 0.0000 0.5000 0.2650
```

Most intense lines, 15° ≤ 2θ ≤ 90°, sorted by position:
3.526 Å, 25.26°, I 100, (1 0 1)
2.171 Å, 41.61°, I 55, (1 1 2)
2.137 Å, 42.29°, I 27, (2 0 0)
1.870 Å, 48.70°, I 16, (1 0 3)
1.828 Å, 49.90°, I 32, (2 1 1)
1.511 Å, 61.35°, I 9, (2 2 0)
1.407 Å, 66.44°, I 13, (2 1 3)
1.260 Å, 75.46°, I 9, (2 0 4)
1.240 Å, 76.87°, I 18, (3 1 2)
1.165 Å, 82.90°, I 8, (3 2 1)

***

Computed powder XRD pattern
Compound: LaTmSbI2
Radiation: a wavelength of 1.5418 Å
Structure: a crystal structure in OQMD, relaxed with PBE
No peak broadening, texture or thermal motion is included.

Atomic structure:
```
data_LaTmSbI2
_cell_length_a 4.4201
_cell_length_b 4.4201
_cell_length_c 11.4230
_cell_angle_alpha 90.00
_cell_angle_beta 90.00
_cell_angle_gamma 120.00
_space_group_name_H-M_alt 'P 3 m 1'
_space_group_IT_number 156
loop_
_space_group_symop_operation_xyz
'x,y,z'
'-y,x-y,z'
'-x+y,-x,z'
'-y,-x,z'
'-x+y,y,z'
'x,x-y,z'
loop_
_atom_site_label
_atom_site_fract_x
_atom_site_fract_y
_atom_site_fract_z
La1 0.0000 0.0000 0.0000
Tm1 0.3333 0.6667 0.3034
Sb1 0.6667 0.3333 0.1656
I1 0.0000 0.0000 0.4676
I2 0.3333 0.6667 0.8174
```

Most intense lines, 15° ≤ 2θ ≤ 90°, sorted by position:
3.828 Å, 23.24°, I 8, (1 0 0)
3.180 Å, 28.06°, I 100, (1 0 2)
2.700 Å, 33.19°, I 9, (1 0 3)
2.289 Å, 39.36°, I 36, (0 1 4)
2.210 Å, 40.83°, I 35, (1 1 0)
1.815 Å, 50.28°, I 20, (0 2 2)
1.590 Å, 58.01°, I 12, (2 0 4)
1.442 Å, 64.61°, I 13, (1 1 6)
1.403 Å, 66.69°, I 17, (2 1 2)
1.291 Å, 73.36°, I 11, (1 2 4)

***

Computed powder XRD pattern
Compound: SmSiHO4
Radiation: a wavelength of 1.5418 Å
Structure: a crystal structure in OQMD, relaxed with PBE
No peak broadening, texture or thermal motion is included.

Atomic structure:
```
data_SmSiHO4
_cell_length_a 7.4694
_cell_length_b 6.6802
_cell_length_c 6.9125
_cell_angle_alpha 90.00
_cell_angle_beta 108.93
_cell_angle_gamma 90.00
_space_group_name_H-M_alt 'P 1 21/c 1'
_space_group_IT_number 14
loop_
_space_group_symop_operation_xyz
'x,y,z'
'-x,-y,-z'
'-x,y+1/2,-z+1/2'
'x,-y+1/2,z+1/2'
loop_
_atom_site_label
_atom_site_fract_x
_atom_site_fract_y
_atom_site_fract_z
Sm1 0.1896 0.1386 0.1408
Si1 0.2500 0.5974 0.1591
H1 0.4814 0.7072 0.8868
O1 0.1136 0.7109 0.5821
O2 0.1844 0.0554 0.8071
O3 0.2788 0.0475 0.4813
O4 0.4702 0.6852 0.2860
```

Most intense lines, 15° ≤ 2θ ≤ 90°, sorted by position:
4.854 Å, 18.28°, I 100, (1 1 0)
4.394 Å, 20.21°, I 47, (1 1 -1)
3.533 Å, 25.21°, I 70, (2 0 0)
3.420 Å, 26.06°, I 77, (1 0 -2)
2.974 Å, 30.04°, I 77, (0 2 1)
2.917 Å, 30.65°, I 31, (2 0 -2)
2.657 Å, 33.74°, I 36, (1 0 2)
2.607 Å, 34.40°, I 38, (1 2 1)
2.461 Å, 36.51°, I 59, (2 2 -1)
1.897 Å, 47.97°, I 43, (1 2 -3)

***

Computed powder XRD pattern
Compound: CsPdC3N3
Radiation: a wavelength of 1.5418 Å
Structure: a crystal structure in OQMD, relaxed with PBE
No peak broadening, texture or thermal motion is included.

Atomic structure:
```
data_CsPdC3N3
_cell_length_a 11.0192
_cell_length_b 11.0192
_cell_length_c 11.0192
_cell_angle_alpha 90.00
_cell_angle_beta 90.00
_cell_angle_gamma 90.00
_space_group_name_H-M_alt 'F m -3 m'
_space_group_IT_number 225
_space_group_name_Hall '-F 4 2 3'
loop_
_atom_site_label
_atom_site_fract_x
_atom_site_fract_y
_atom_site_fract_z
Cs1 0.2500 0.2500 0.2500
Pd1 0.0000 0.0000 0.0000
Pd2 0.0000 0.0000 0.5000
C1 0.0000 0.0000 0.1908
N1 0.0000 0.0000 0.2978
```

Most intense lines, 15° ≤ 2θ ≤ 90°, sorted by position:
3.896 Å, 22.83°, I 100, (2 2 0)
2.755 Å, 32.50°, I 35, (4 0 0)
2.249 Å, 40.09°, I 39, (4 2 2)
1.948 Å, 46.63°, I 21, (4 4 0)
1.742 Å, 52.52°, I 26, (6 2 0)
1.590 Å, 57.99°, I 6, (4 4 4)
1.472 Å, 63.14°, I 26, (6 4 2)
1.299 Å, 72.83°, I 12, (6 6 0)
1.232 Å, 77.48°, I 8, (8 4 0)
1.175 Å, 82.04°, I 7, (6 6 4)

***

Computed powder XRD pattern
Compound: BaLiSiAgS4
Radiation: a wavelength of 1.5418 Å
Structure: a crystal structure in OQMD, relaxed with PBE
No peak broadening, texture or thermal motion is included.

Atomic structure:
```
data_BaLiSiAgS4
_cell_length_a 6.6733
_cell_length_b 6.6733
_cell_length_c 8.1267
_cell_angle_alpha 90.00
_cell_angle_beta 90.00
_cell_angle_gamma 90.00
_space_group_name_H-M_alt 'I -4'
_space_group_IT_number 82
loop_
_space_group_symop_operation_xyz
'x,y,z'
'y,-x,-z'
'-x,-y,z'
'-y,x,-z'
'x+1/2,y+1/2,z+1/2'
'y+1/2,-x+1/2,-z+1/2'
'-x+1/2,-y+1/2,z+1/2'
'-y+1/2,x+1/2,-z+1/2'
loop_
_atom_site_label
_atom_site_fract_x
_atom_site_fract_y
_atom_site_fract_z
Ba1 0.0000 0.0000 0.0000
Li1 0.0000 0.5000 0.7500
Si1 0.0000 0.0000 0.5000
Ag1 0.0000 0.5000 0.2500
S1 0.1771 0.1933 0.6515
```

Most intense lines, 15° ≤ 2θ ≤ 90°, sorted by position:
5.157 Å, 17.19°, I 61, (1 0 1)
3.337 Å, 26.72°, I 25, (2 0 0)
3.079 Å, 29.00°, I 100, (1 1 2)
2.801 Å, 31.95°, I 61, (1 2 1)
2.510 Å, 35.77°, I 23, (1 0 3)
2.359 Å, 38.14°, I 32, (2 2 0)
2.145 Å, 42.12°, I 18, (3 0 1)
1.873 Å, 48.62°, I 47, (3 1 2)
1.735 Å, 52.75°, I 25, (2 0 4)
1.528 Å, 60.59°, I 12, (2 3 3)